Theoretical powder X-ray diffraction pattern
Compound: Cr3P2O8
Radiation: Cu Kα
Structure: a GGA+U-relaxed structure
Peak positions follow from Bragg's law for the DFT cell and can differ from measured ones.

Peak list (10 most intense, 10° ≤ 2θ ≤ 90°, by angle)
(0 1 1), 16.3°, I 31; (1 1 -1), 19.8°, I 56; (1 0 -2), 22.4°, I 38; (0 1 2), 28.6°, I 100; (1 2 0), 28.7°, I 37; (1 3 -1), 33.0°, I 92; (2 0 -2), 35.5°, I 54; (2 1 -2), 36.8°, I 34; (0 4 0), 37.2°, I 41; (0 1 3), 42.2°, I 34

Atomic structure:
Cell: 5.053 9.666 8.209 Å, 90.00 126.60 90.00°
Space group P2_1/c (No. 14)
Asymmetric unit:
Cr (0.000, 0.000, 0.000)
Cr (0.202, 0.125, 0.653)
P (0.341, 0.680, 0.346)
O (0.097, 0.584, 0.161)
O (0.219, 0.671, 0.812)
O (0.317, 0.175, 0.118)
O (0.381, 0.617, 0.535)